No. 1
Structure and theoretical powder diffractogram of MgV12B4O20 (a cell relaxed with GGA+U; Cu Ka).

```
MgV12B4O20
1.0
9.701 0.000 0.000
0.000 3.192 0.000
-0.125 0.000 12.938
Mg V B O
1 12 4 20
Cartesian
0.000 0.000 0.000 Mg
-0.023 0.000 8.143 V
0.052 1.596 5.432 V
2.441 0.000 3.308 V
2.459 0.000 9.601 V
4.796 0.000 1.858 V
4.722 1.596 11.810 V
4.814 1.596 8.240 V
4.896 1.596 4.706 V
7.132 0.000 0.378 V
7.205 0.000 6.821 V
9.594 1.596 2.193 V
9.560 1.596 10.794 V
2.188 0.000 12.903 B
2.680 0.000 6.431 B
6.923 0.000 10.050 B
7.483 0.000 3.682 B
1.004 1.596 9.136 O
1.169 1.596 3.678 O
1.273 0.000 6.392 O
1.390 0.000 11.698 O
1.551 0.000 1.175 O
3.353 0.000 7.649 O
3.409 0.000 5.238 O
3.533 0.000 12.882 O
3.677 1.596 10.024 O
3.824 1.596 2.843 O
5.828 1.596 0.808 O
5.981 1.596 6.482 O
6.105 0.000 3.664 O
6.227 0.000 11.259 O
6.285 0.000 8.829 O
8.188 0.000 2.429 O
8.227 0.000 4.848 O
8.354 0.000 10.061 O
8.530 1.596 12.897 O
8.624 1.596 7.231 O
```

Main lines, by angle (2θ = 5–70°):
(hkl), two_theta, intensity
1 0 -2, 16.4, 27
1 0 2, 16.5, 28
2 0 0, 18.3, 28
2 0 -4, 33.1, 45
2 0 4, 33.4, 52
2 1 0, 33.6, 100
4 0 0, 37.1, 21
3 1 -2, 42.1, 23
3 1 2, 42.3, 20
3 1 -3, 45.0, 30
3 1 3, 45.2, 34
0 2 0, 57.8, 36



No. 2
Structure and theoretical powder diffractogram of LiCoOF2 (a cell relaxed with GGA+U; Cu Ka).

```
LiCoOF2
1.0
8.891 0.000 0.000
0.000 5.100 0.000
-8.380 0.000 9.431
Li Co O F
8 8 8 16
Cartesian
0.000 0.355 0.000 Li
-4.190 4.744 4.715 Li
-2.491 2.165 4.759 Li
1.699 2.935 0.043 Li
0.321 2.116 6.616 Li
4.511 2.984 1.901 Li
6.005 0.457 1.877 Li
1.815 4.643 6.593 Li
-5.419 2.066 6.565 Co
-1.229 3.034 1.849 Co
-0.079 0.114 3.856 Co
-4.269 4.985 8.572 Co
2.802 0.258 1.851 Co
-1.388 4.841 6.567 Co
-2.444 2.061 8.772 Co
1.746 3.039 4.057 Co
-5.497 0.570 7.478 O
-1.307 4.530 2.763 O
-0.981 0.943 5.306 O
3.209 4.157 0.591 O
-2.600 0.477 7.781 O
1.590 4.623 3.066 O
4.712 1.249 0.405 O
0.522 3.850 5.120 O
-4.123 1.419 5.273 F
0.068 3.681 0.557 F
1.533 1.189 0.679 F
-2.657 3.911 5.394 F
0.118 2.020 2.990 F
-4.072 3.080 7.705 F
2.978 2.099 2.815 F
-1.212 3.001 7.530 F
1.862 1.492 5.320 F
6.052 3.608 0.605 F
0.317 0.353 7.562 F
4.507 4.747 2.847 F
7.455 1.421 0.654 F
3.264 3.679 5.369 F
6.166 2.138 2.850 F
1.976 2.962 7.566 F
```

Main lines, by angle (2θ = 5–70°):
(hkl), two_theta, intensity
1 0 0, 13.3, 71
1 0 -2, 14.1, 100
1 1 0, 22.0, 98
1 1 -2, 22.4, 80
2 0 0, 26.8, 35
2 0 -4, 28.3, 52
2 1 0, 32.2, 55
2 1 -4, 33.5, 36
3 1 -1, 39.3, 36
0 2 2, 40.2, 36
3 1 -5, 40.9, 34
3 3 -3, 63.1, 36



No. 3
Structure and theoretical powder diffractogram of MgMn4O4F4 (a cell relaxed with GGA+U; Cu Ka).

```
MgMn4O4F4
1.0
5.249 0.000 0.000
1.105 5.373 0.000
0.453 0.117 6.460
Mg Mn O F
1 4 4 4
Cartesian
0.000 0.000 0.000 Mg
1.757 3.934 3.635 Mn
1.899 2.461 0.343 Mn
3.794 1.717 3.515 Mn
4.356 4.166 1.797 Mn
2.677 2.679 4.944 O
2.747 2.969 2.006 O
5.223 3.244 3.167 O
5.603 3.607 0.358 O
1.870 0.296 0.372 F
3.411 5.397 3.224 F
4.497 0.656 1.641 F
5.148 0.435 4.672 F
```

Main lines, by angle (2θ = 5–70°):
(hkl), two_theta, intensity
0 0 1, 13.7, 90
1 0 1, 21.4, 79
1 1 0, 21.4, 95
1 0 -1, 22.8, 74
1 1 1, 24.7, 84
0 0 2, 27.6, 67
1 -1 1, 29.4, 100
-1 1 1, 30.2, 67
1 2 0, 34.5, 74
0 2 -1, 36.4, 60
1 -1 2, 37.9, 70
-1 1 2, 39.1, 65



No. 4
Structure and theoretical powder diffractogram of NiH6S2O12 (a cell relaxed with GGA+U; Cu Ka).

```
NiH6S2O12
1.0
6.280 0.000 0.000
0.774 6.276 0.000
2.560 2.124 8.263
Ni H S O
1 6 2 12
Cartesian
0.000 0.000 0.000 Ni
2.376 2.050 4.612 H
2.725 5.081 1.174 H
4.356 7.496 5.884 H
5.257 0.905 2.378 H
6.889 3.319 7.089 H
7.238 6.350 3.651 H
3.768 4.080 3.658 S
5.845 4.320 4.604 S
1.765 1.595 5.301 O
3.464 7.469 6.319 O
2.940 4.873 4.547 O
2.049 5.208 0.461 O
3.582 2.616 3.745 O
3.969 4.576 2.299 O
5.645 3.825 5.964 O
6.031 5.784 4.517 O
7.564 3.192 7.802 O
6.673 3.527 3.716 O
6.149 0.931 1.943 O
7.848 6.805 2.962 O
```

Main lines, by angle (2θ = 5–70°):
(hkl), two_theta, intensity
0 0 1, 10.7, 28
0 1 1, 15.8, 100
1 1 1, 19.1, 11
0 1 -1, 20.2, 29
1 1 0, 20.3, 72
1 0 -1, 20.5, 19
1 -1 0, 21.3, 24
0 0 2, 21.5, 20
2 0 1, 28.8, 13
1 2 1, 30.3, 14
2 0 3, 38.0, 12
1 0 -3, 39.4, 11